This entry pairs a crystal structure of Tl2HgTeO6 with its calculated powder X-ray diffraction pattern. Radiation: Cu Kα (λ = 1.5418 Å). Structure: a GGA-PBE-relaxed structure.
Peak positions follow from Bragg's law for the DFT cell and can differ from measured ones.

Structure:
```
data_Tl2HgTeO6
_cell_length_a 5.770
_cell_length_b 6.066
_cell_length_c 6.171
_cell_angle_alpha 99.09
_cell_angle_beta 111.92
_cell_angle_gamma 116.40
_symmetry_space_group_name_H-M 'P 1'
_symmetry_Int_Tables_number 1
loop_
_symmetry_equiv_pos_as_xyz
'x,y,z'
loop_
_atom_site_label
_atom_site_type_symbol
_atom_site_fract_x
_atom_site_fract_y
_atom_site_fract_z
Tl1 Tl 0.000 0.000 0.000
Tl2 Tl 0.075 0.501 0.579
Hg1 Hg 0.579 0.745 0.376
Te1 Te 0.604 0.315 0.931
O1 O 0.038 0.366 0.203
O2 O 0.183 0.235 0.751
O3 O 0.495 0.170 0.165
O4 O 0.518 0.872 0.683
O5 O 0.772 0.688 0.157
O6 O 0.854 0.603 0.744
```

Principal peaks in the range 2θ = 10–80°, low angle first:
Position (°2θ), I/Imax
19.11, 28
26.71, 98
28.64, 100
29.00, 78
29.47, 66
29.83, 87
31.26, 68
38.78, 33
40.34, 37
45.03, 26
45.84, 29
50.55, 28